Simulated X-ray powder pattern of GaN for CuKα, from a structure optimized by DFT (PBE).

Atomic structure:
Lattice parameters (Å, degrees): 2.8852 2.8852 5.0162 90.00 90.00 90.00
Space group I4mm (No. 107)
Inequivalent atoms, fractional coordinates:
Ga 0.0000 0.0000 0.0000 [2 per cell]
N 0.0000 0.0000 0.6058 [2 per cell]

Peak list (8 most intense, 2θ from 10° to 80°, sorted by position)
d (Å)  intensity  h k l
2.508  37.9  0 0 2
2.501  100.0  1 0 1
2.040  49.8  1 1 0
1.583  34.6  1 1 2
1.447  26.3  1 0 3
1.443  14.9  2 0 0
1.254  2.8  0 0 4
1.250  37.8  2 0 2

Simulated X-ray powder pattern of GaN for CuKα, from a structure optimized by DFT (PBE).

Atomic structure:
Lattice parameters (Å, degrees): 3.2115 3.2115 10.3568 90.00 90.00 120.00
Space group P6_3mc (No. 186)
Inequivalent atoms, fractional coordinates:
Ga 0.0000 0.0000 0.0000 [2 per cell]
Ga 0.3333 0.6667 0.2515 [2 per cell]
N 0.0000 0.0000 0.3072 [2 per cell]
N 0.3333 0.6667 0.5579 [2 per cell]

Peak list (12 most intense, 2θ from 10° to 80°, sorted by position)
d (Å)  intensity  h k l
2.781  14.8  1 0 0
2.686  51.5  1 0 1
2.589  49.7  0 0 4
2.450  100.0  1 0 2
2.166  40.6  1 0 3
1.895  7.1  1 0 4
1.661  9.5  1 0 5
1.606  40.6  1 1 0
1.467  29.7  1 0 6
1.365  37.0  1 1 4
1.343  15.2  2 0 2
1.290  6.7  2 0 3

Simulated X-ray powder pattern of GaN for CuKα, from a structure optimized by DFT (PBE).

Atomic structure:
Lattice parameters (Å, degrees): 3.2044 3.2044 8.4745 90.00 90.00 120.00
Space group P6_3/mmc (No. 194)
Inequivalent atoms, fractional coordinates:
Ga 0.3333 0.6667 0.2500 [2 per cell]
N 0.0000 0.0000 0.2500 [2 per cell]

Peak list (12 most intense, 2θ from 10° to 80°, sorted by position)
d (Å)  intensity  h k l
4.237  100.0  0 0 2
2.775  6.6  1 0 0
2.637  90.2  1 0 1
2.322  8.7  1 0 2
2.119  14.5  0 0 4
1.980  38.5  1 0 3
1.602  16.8  1 1 0
1.499  26.4  1 1 2
1.446  13.4  1 0 5
1.369  11.1  2 0 1
1.278  14.9  1 1 4
1.245  8.0  2 0 3

Q: What is the formula in the second record?
A: GaN

Q: Number 2 is which compound?
A: GaN